Simulated X-ray diffraction stick pattern
Compound: ScCoC2
Radiation: λ = 1.5418 Å (Cu Kα)
Structure: a DFT-relaxed cell (PBE, the Materials Project)
No peak broadening, texture or thermal motion is included.

Principal peaks in the range 10 to 90 degrees two-theta, in order of rising 2θ:
| (hkl) | two_theta | intensity |
| --- | --- | --- |
| 0 0 1 | 12.35 | 79.4 |
| 0 0 3 | 37.65 | 43.6 |
| 1 1 1 | 39.90 | 100.0 |
| 1 1 2 | 45.75 | 61.8 |
| 2 0 0 | 54.50 | 37.9 |
| 1 1 4 | 65.15 | 34.0 |

Structure:
```
data_ScCoC2
_space_group_name_H-M_alt 'P 4/n m m'
_space_group_IT_number 129
_cell_length_a 3.367
_cell_length_b 3.367
_cell_length_c 7.168
_cell_angle_alpha 90.00
_cell_angle_beta 90.00
_cell_angle_gamma 90.00
loop_
_space_group_symop_operation_xyz
'x,y,z'
'-x,-y,-z'
'-y+1/2,x,z'
'y+1/2,-x,-z'
'-x+1/2,-y+1/2,z'
'x+1/2,y+1/2,-z'
'y,-x+1/2,z'
'-y,x+1/2,-z'
'x+1/2,-y,-z'
'-x+1/2,y,z'
'-y,-x,-z'
'y,x,z'
'-x,y+1/2,-z'
'x,-y+1/2,z'
'y+1/2,x+1/2,-z'
'-y+1/2,-x+1/2,z'
loop_
_atom_site_label
_atom_site_fract_x
_atom_site_fract_y
_atom_site_fract_z
Sc1 0.250 0.250 0.154
Co1 0.250 0.750 0.500
C1 0.250 0.250 0.650
C2 0.250 0.250 0.847
```